1.
This entry pairs a crystal structure of SbPt2O6 with its simulated XRD peak list. Radiation: λ = 1.5418 Å (Cu Kα). Structure: DFT lattice parameters and positions (GGA-PBE).

Peak list (8 most intense, 2θ = 10–80°, most intense first)
| 2θ/deg | intensity |
| --- | --- |
| 18.6 | 100 |
| 37.5 | 89 |
| 32.2 | 56 |
| 50.5 | 45 |
| 60.9 | 25 |
| 68.0 | 18 |
| 57.4 | 18 |
| 70.6 | 14 |

Cell and atoms:
```
SbPt2O6
1.0
5.561 0.000 0.000
-2.781 4.816 0.000
0.000 0.000 4.758
Sb Pt O
1 2 6
Cartesian
0.000 0.000 0.000
0.000 3.211 0.000
2.781 1.605 0.000
-0.930 1.611 3.801
-1.851 3.206 0.957
1.860 0.000 3.801
0.930 1.611 0.957
3.701 0.000 0.957
1.851 3.206 3.801
```

=====

2.
This entry pairs a crystal structure of ScPtO4 with its simulated XRD peak list. Radiation: λ = 1.5418 Å (Cu Kα). Structure: DFT lattice parameters and positions (GGA-PBE).

Peak list (8 most intense, 2θ = 10–80°, most intense first)
| 2θ/deg | intensity |
| --- | --- |
| 24.3 | 100 |
| 16.6 | 30 |
| 36.6 | 26 |
| 34.0 | 25 |
| 53.1 | 23 |
| 48.5 | 19 |
| 46.5 | 17 |
| 33.5 | 16 |

Cell and atoms:
```
ScPtO4
1.0
3.907 0.000 0.000
0.000 3.907 0.000
0.000 0.000 10.691
Sc Pt O
2 2 8
Cartesian
0.000 0.000 0.000
1.954 1.954 5.346
0.000 1.954 8.018
1.954 0.000 2.673
0.000 0.000 2.234
0.000 0.000 8.458
0.000 1.954 6.003
0.000 1.954 10.034
1.954 0.000 0.657
1.954 0.000 4.689
1.954 1.954 3.112
1.954 1.954 7.579
```

=====

3.
This entry pairs a crystal structure of Sr8Si2PtO14 with its simulated XRD peak list. Radiation: λ = 1.5418 Å (Cu Kα). Structure: DFT lattice parameters and positions (GGA-PBE).

Peak list (8 most intense, 2θ = 10–80°, most intense first)
| 2θ/deg | intensity |
| --- | --- |
| 30.9 | 100 |
| 29.3 | 94 |
| 28.3 | 80 |
| 32.3 | 63 |
| 13.0 | 36 |
| 33.1 | 32 |
| 41.8 | 31 |
| 36.9 | 30 |

Cell and atoms:
```
Sr8Si2PtO14
1.0
9.552 -2.896 0.000
9.552 2.896 0.000
-2.554 0.000 6.818
Sr Si Pt O
8 2 1 14
Cartesian
-0.332 0.000 2.039
1.540 -0.029 5.379
5.091 0.005 3.456
7.683 -0.119 0.299
8.866 -0.119 6.519
11.458 0.005 3.362
15.009 -0.029 1.439
16.881 0.000 4.779
2.764 -0.138 1.404
13.785 -0.138 5.414
8.275 0.006 3.409
1.585 0.149 0.284
4.068 0.820 1.060
3.774 1.170 5.469
2.242 0.184 2.931
7.108 1.393 2.459
9.441 1.393 4.359
6.933 0.031 5.058
12.776 1.170 1.349
9.616 0.031 1.759
12.481 0.820 5.758
7.102 -1.392 2.450
14.307 0.184 3.887
9.447 -1.392 4.367
14.964 0.149 6.534
```

=====

4.
This entry pairs a crystal structure of SmPt3O6 with its simulated XRD peak list. Radiation: λ = 1.5418 Å (Cu Kα). Structure: DFT lattice parameters and positions (GGA-PBE).

Peak list (8 most intense, 2θ = 10–80°, most intense first)
| 2θ/deg | intensity |
| --- | --- |
| 30.7 | 100 |
| 30.5 | 98 |
| 50.9 | 73 |
| 35.6 | 51 |
| 60.7 | 29 |
| 61.0 | 28 |
| 35.1 | 26 |
| 60.2 | 15 |

Cell and atoms:
```
SmPt3O6
1.0
3.585 -5.109 0.000
3.585 5.109 0.000
0.000 0.000 3.549
Sm Pt O
1 3 6
Cartesian
0.000 0.000 0.000
1.793 2.554 1.774
1.793 -2.554 1.774
3.585 0.000 0.000
3.585 3.540 1.774
2.098 1.351 0.000
2.098 -1.351 0.000
5.072 1.351 0.000
5.072 -1.351 0.000
3.585 -3.540 1.774
```

=====

5.
This entry pairs a crystal structure of Sn2Pt2O7 with its simulated XRD peak list. Radiation: λ = 1.5418 Å (Cu Kα). Structure: DFT lattice parameters and positions (GGA-PBE).

Peak list (8 most intense, 2θ = 10–80°, most intense first)
| 2θ/deg | intensity |
| --- | --- |
| 30.1 | 100 |
| 50.1 | 47 |
| 59.6 | 45 |
| 34.9 | 35 |
| 62.5 | 11 |
| 14.9 | 7 |
| 73.6 | 7 |
| 28.8 | 6 |

Cell and atoms:
```
Sn2Pt2O7
1.0
0.000 5.149 5.149
5.149 0.000 5.149
5.149 5.149 0.000
Sn Pt O
4 4 14
Cartesian
0.000 0.000 0.000
2.574 2.574 0.000
2.574 0.000 2.574
0.000 2.574 2.574
5.149 2.574 2.574
2.574 5.149 2.574
2.574 2.574 5.149
5.149 5.149 5.149
1.287 1.287 1.287
3.862 3.862 1.642
3.862 1.642 3.862
6.081 3.862 3.862
6.436 6.436 4.217
6.436 4.217 6.436
8.655 6.436 6.436
1.642 3.862 3.862
3.862 6.081 3.862
3.862 3.862 6.081
4.217 6.436 6.436
6.436 8.655 6.436
6.436 6.436 8.655
9.010 9.010 9.010
```

=====

6.
This entry pairs a crystal structure of Sr2Pt2O7 with its simulated XRD peak list. Radiation: λ = 1.5418 Å (Cu Kα). Structure: DFT lattice parameters and positions (GGA-PBE).

Peak list (8 most intense, 2θ = 10–80°, most intense first)
| 2θ/deg | intensity |
| --- | --- |
| 29.1 | 100 |
| 48.5 | 45 |
| 57.6 | 45 |
| 33.8 | 35 |
| 14.5 | 21 |
| 78.6 | 18 |
| 27.9 | 15 |
| 60.4 | 11 |

Cell and atoms:
```
Sr2Pt2O7
1.0
0.000 5.308 5.308
5.308 0.000 5.308
5.308 5.308 0.000
Sr Pt O
4 4 14
Cartesian
0.000 0.000 0.000
2.654 2.654 0.000
2.654 0.000 2.654
0.000 2.654 2.654
5.308 2.654 2.654
2.654 5.308 2.654
2.654 2.654 5.308
5.308 5.308 5.308
1.327 1.327 1.327
3.981 3.981 1.873
3.981 1.873 3.981
6.088 3.981 3.981
6.634 6.634 4.527
6.634 4.527 6.634
8.742 6.634 6.634
1.873 3.981 3.981
3.981 6.088 3.981
3.981 3.981 6.088
4.527 6.634 6.634
6.634 8.742 6.634
6.634 6.634 8.742
9.288 9.288 9.288
```

=====

7.
This entry pairs a crystal structure of SrTb2PtO5 with its simulated XRD peak list. Radiation: λ = 1.5418 Å (Cu Kα). Structure: DFT lattice parameters and positions (GGA-PBE).

Peak list (8 most intense, 2θ = 10–80°, most intense first)
| 2θ/deg | intensity |
| --- | --- |
| 31.2 | 100 |
| 34.2 | 40 |
| 30.3 | 40 |
| 43.6 | 31 |
| 19.1 | 27 |
| 46.4 | 24 |
| 38.8 | 23 |
| 50.1 | 22 |

Cell and atoms:
```
SrTb2PtO5
1.0
6.557 0.000 0.000
0.000 6.557 0.000
0.000 0.000 5.891
Sr Tb Pt O
2 4 2 10
Cartesian
0.000 0.000 0.000
3.279 3.279 0.000
1.142 2.137 2.945
2.137 5.416 2.945
4.420 1.142 2.945
5.416 4.420 2.945
0.000 3.279 0.000
3.279 0.000 0.000
0.000 0.000 2.945
0.937 4.215 1.517
0.937 4.215 4.374
2.342 0.937 1.517
2.342 0.937 4.374
3.279 3.279 2.945
4.215 5.621 1.517
4.215 5.621 4.374
5.621 2.342 1.517
5.621 2.342 4.374
```

=====

8.
This entry pairs a crystal structure of Sr2TcPtO6 with its simulated XRD peak list. Radiation: λ = 1.5418 Å (Cu Kα). Structure: DFT lattice parameters and positions (GGA-PBE).

Peak list (8 most intense, 2θ = 10–80°, most intense first)
| 2θ/deg | intensity |
| --- | --- |
| 28.3 | 100 |
| 31.4 | 94 |
| 49.2 | 46 |
| 32.9 | 35 |
| 35.5 | 27 |
| 35.6 | 25 |
| 57.8 | 22 |
| 17.5 | 19 |

Cell and atoms:
```
Sr2TcPtO6
1.0
5.099 0.000 0.000
-0.002 5.444 0.000
-1.802 -2.712 5.062
Sr Tc Pt O
2 1 1 6
Cartesian
0.267 0.006 2.330
3.027 2.726 2.732
-0.001 2.722 0.000
2.550 0.000 0.000
-0.570 -1.369 4.346
-0.563 1.381 4.345
0.791 2.721 1.723
2.503 0.011 3.339
3.857 1.351 0.716
3.864 4.101 0.716
```